Entry 1:
Starting from DFT lattice parameters and positions (GGA-PBE), the powder XRD pattern of Ce2As3 was calculated for a wavelength of 1.5418 Å.

Cell and atoms:
```
Ce2As3
1.0
4.015 0.000 0.000
0.000 4.015 0.000
0.000 0.000 14.925
Ce As
4 6
Direct
0.000 0.000 0.122 Ce
0.000 0.000 0.878 Ce
0.500 0.500 0.378 Ce
0.500 0.500 0.622 Ce
0.000 0.000 0.323 As
0.000 0.000 0.500 As
0.000 0.000 0.677 As
0.500 0.500 0.000 As
0.500 0.500 0.177 As
0.500 0.500 0.823 As
```

Most intense lines, 5 to 70 degrees two-theta, sorted by position:
2theta	I/Imax
23.85	22
28.57	12
31.51	100
37.55	79
39.90	23
45.16	37
60.13	40
65.78	12

=====

Entry 2:
Starting from DFT lattice parameters and positions (GGA-PBE), the powder XRD pattern of CeCo5As3 was calculated for a wavelength of 1.5418 Å.

Cell and atoms:
```
CeCo5As3
1.0
1.865 -5.941 0.000
1.865 5.941 0.000
0.000 0.000 11.708
Ce Co As
2 10 6
Direct
0.164 0.836 0.750 Ce
0.836 0.164 0.250 Ce
0.000 0.000 0.000 Co
0.000 0.000 0.500 Co
0.194 0.806 0.069 Co
0.194 0.806 0.431 Co
0.447 0.553 0.642 Co
0.447 0.553 0.858 Co
0.553 0.447 0.142 Co
0.553 0.447 0.358 Co
0.806 0.194 0.569 Co
0.806 0.194 0.931 Co
0.108 0.892 0.250 As
0.381 0.619 0.044 As
0.381 0.619 0.456 As
0.619 0.381 0.544 As
0.619 0.381 0.956 As
0.892 0.108 0.750 As
```

Most intense lines, 5 to 70 degrees two-theta, sorted by position:
2theta	I/Imax
31.06	36
32.98	32
34.09	100
36.47	95
39.88	64
45.24	34
47.98	42
48.82	68

=====

Entry 3:
Starting from DFT lattice parameters and positions (GGA-PBE), the powder XRD pattern of Ce3Co2As4Pd2 was calculated for a wavelength of 1.5418 Å.

Cell and atoms:
```
Ce3Co2As4Pd2
1.0
4.142 0.000 0.000
-2.071 3.587 0.000
0.000 0.000 14.343
Ce Co As Pd
3 2 4 2
Direct
0.000 0.000 0.000 Ce
0.000 0.000 0.264 Ce
0.000 0.000 0.736 Ce
0.333 0.667 0.147 Co
0.667 0.333 0.853 Co
0.333 0.667 0.384 As
0.333 0.667 0.871 As
0.667 0.333 0.129 As
0.667 0.333 0.616 As
0.333 0.667 0.561 Pd
0.667 0.333 0.439 Pd
```

Most intense lines, 5 to 70 degrees two-theta, sorted by position:
2theta	I/Imax
25.60	21
27.81	21
31.17	45
35.39	100
43.70	83
45.60	14
57.45	31
63.91	22